The following is a computed powder XRD pattern of TbNiAs. It was derived from a PBE-relaxed structure, using Cu Kα.
Intensities are scaled so that the largest is 1000.

The 12 most intense peaks (2θ from 15° to 90°), low angle first:
h k l, 2θ (°), I/Imax
1 0 0, 25.32, 154
1 0 1, 34.36, 1000
1 1 0, 44.62, 411
0 0 2, 46.64, 120
2 0 0, 52.00, 23
1 0 2, 53.81, 42
2 0 1, 57.50, 225
1 1 2, 66.53, 244
2 1 1, 75.58, 199
1 0 3, 78.54, 90
3 0 0, 82.23, 67
2 1 2, 89.20, 22

Atomic structure:
Unit cell a=4.061 b=4.061 c=3.895 alpha=90.00 beta=90.00 gamma=120.00
Fractional coordinates of all 3 atoms:
Tb (0.000, 0.000, 0.000)
Ni (0.333, 0.667, 0.500)
As (0.667, 0.333, 0.500)